This entry pairs a crystal structure of Rh5C3 with its theoretical powder diffractogram. Radiation: a wavelength of 1.5418 Å. Structure: the GGA-PBE geometry in Alexandria.
Peak positions follow from Bragg's law for the DFT cell and can differ from measured ones.

Principal peaks in the range 5 to 70 degrees two-theta, in order of rising 2θ:
- 2θ 17.3, 5.120 Å, I 35, (1 0 0)
- 2θ 25.0, 3.568 Å, I 32, (0 0 2)
- 2θ 30.5, 2.927 Å, I 23, (1 0 2)
- 2θ 32.8, 2.731 Å, I 53, (1 1 1)
- 2θ 35.1, 2.560 Å, I 42, (2 0 0)
- 2θ 37.3, 2.410 Å, I 100, (2 0 1)
- 2θ 39.6, 2.276 Å, I 97, (1 1 2)
- 2θ 41.9, 2.157 Å, I 65, (1 0 3)
- 2θ 53.9, 1.701 Å, I 41, (1 2 2)
- 2θ 61.8, 1.501 Å, I 28, (2 1 3)

Structural model:
```
data_Rh5C3
_cell_length_a 5.9119
_cell_length_b 5.9119
_cell_length_c 7.1355
_cell_angle_alpha 90.00
_cell_angle_beta 90.00
_cell_angle_gamma 120.00
_space_group_name_H-M_alt 'P 63/m'
_space_group_IT_number 176
_space_group_name_Hall '-P 6c'
loop_
_atom_site_label
_atom_site_fract_x
_atom_site_fract_y
_atom_site_fract_z
Rh1 0.1003 0.3488 0.2500
Rh2 0.3333 0.6667 0.5655
C1 0.0996 0.3797 0.7500
```